Computed powder XRD pattern
Compound: Tb19Pr4Th6
Radiation: Cu Kα, 1.54184 Å
Structure: the GGA-PBE geometry in Alexandria

Crystal structure
Lattice parameters (Å, degrees): 10.868 10.868 10.868 109.47 109.47 109.47
Element x y z (fractional)
Tb: 0.000 0.000 0.000
Tb: 0.000 0.265 0.265
Tb: 0.000 0.735 0.735
Tb: 0.019 0.805 0.342
Tb: 0.195 0.214 0.538
Tb: 0.214 0.538 0.195
Tb: 0.265 0.000 0.265
Tb: 0.265 0.265 0.000
Tb: 0.324 0.786 0.981
Tb: 0.342 0.019 0.805
Tb: 0.462 0.676 0.658
Tb: 0.538 0.195 0.214
Tb: 0.658 0.462 0.676
Tb: 0.676 0.658 0.462
Tb: 0.735 0.000 0.735
Tb: 0.735 0.735 0.000
Tb: 0.786 0.981 0.324
Tb: 0.805 0.342 0.019
Tb: 0.981 0.324 0.786
Pr: 0.000 0.000 0.641
Pr: 0.000 0.641 0.000
Pr: 0.359 0.359 0.359
Pr: 0.641 0.000 0.000
Th: 0.129 0.629 0.500
Th: 0.371 0.500 0.871
Th: 0.500 0.129 0.629
Th: 0.500 0.871 0.371
Th: 0.629 0.500 0.129
Th: 0.871 0.371 0.500

The 10 most intense peaks (2θ from 10° to 90°), sorted by position:
2theta, I/Imax
26.58, 77
28.45, 67
30.21, 96
35.03, 55
36.51, 100
41.98, 28
53.67, 24
59.87, 34
60.87, 27
63.80, 25

Computed powder XRD pattern
Compound: KHoAg2F8
Radiation: Cu Kα, 1.54184 Å
Structure: the GGA-PBE geometry in Alexandria

Crystal structure
Lattice parameters (Å, degrees): 6.711 6.711 6.711 127.16 127.16 78.00
Element x y z (fractional)
K: 0.000 0.000 0.000
Ho: 0.250 0.750 0.500
Ag: 0.500 0.500 0.000
Ag: 0.750 0.250 0.500
F: 0.001 0.017 0.421
F: 0.244 0.449 0.565
F: 0.321 0.756 0.205
F: 0.419 0.999 0.015
F: 0.551 0.116 0.795
F: 0.596 0.581 0.579
F: 0.884 0.679 0.435
F: 0.983 0.404 0.985

The 10 most intense peaks (2θ from 10° to 90°), sorted by position:
2theta, I/Imax
17.11, 18
21.04, 11
27.17, 100
29.92, 27
34.39, 17
42.83, 20
46.22, 23
51.46, 43
56.04, 15
57.31, 14

Computed powder XRD pattern
Compound: TlCF4
Radiation: Cu Kα, 1.54184 Å
Structure: the GGA-PBE geometry in Alexandria

Crystal structure
Lattice parameters (Å, degrees): 6.154 8.495 10.241 90.00 90.00 90.00
Element x y z (fractional)
Tl: 0.102 0.250 0.209
Tl: 0.398 0.750 0.709
Tl: 0.602 0.250 0.291
Tl: 0.898 0.750 0.791
C: 0.113 0.250 0.643
C: 0.387 0.750 0.143
C: 0.613 0.250 0.857
C: 0.887 0.750 0.357
F: 0.063 0.750 0.435
F: 0.111 0.121 0.719
F: 0.111 0.379 0.719
F: 0.206 0.750 0.069
F: 0.294 0.250 0.569
F: 0.389 0.621 0.219
F: 0.389 0.879 0.219
F: 0.437 0.250 0.935
F: 0.563 0.750 0.065
F: 0.611 0.121 0.781
F: 0.611 0.379 0.781
F: 0.706 0.750 0.431
F: 0.794 0.250 0.931
F: 0.889 0.621 0.281
F: 0.889 0.879 0.281
F: 0.937 0.250 0.565

The 10 most intense peaks (2θ from 10° to 90°), sorted by position:
2theta, I/Imax
13.54, 100
17.32, 57
20.91, 66
24.93, 30
27.28, 24
28.17, 27
30.92, 42
32.81, 27
35.64, 48
37.13, 35

Computed powder XRD pattern
Compound: SbPb2O4
Radiation: Cu Kα, 1.54184 Å
Structure: the GGA-PBE geometry in Alexandria

Crystal structure
Lattice parameters (Å, degrees): 6.132 10.726 3.527 90.00 90.00 90.00
Element x y z (fractional)
Sb: 0.000 0.000 0.000
Sb: 0.500 0.500 0.000
Pb: 0.000 0.327 0.500
Pb: 0.000 0.673 0.500
Pb: 0.500 0.173 0.500
Pb: 0.500 0.827 0.500
O: 0.237 0.000 0.500
O: 0.250 0.250 0.000
O: 0.250 0.750 0.000
O: 0.263 0.500 0.500
O: 0.737 0.500 0.500
O: 0.750 0.250 0.000
O: 0.750 0.750 0.000
O: 0.763 0.000 0.500

The 10 most intense peaks (2θ from 10° to 90°), sorted by position:
2theta, I/Imax
25.25, 20
28.91, 100
29.13, 37
30.38, 85
38.75, 28
42.55, 44
51.50, 20
52.08, 21
52.44, 14
60.43, 33